No. 1
Diffraction record for V4NO10. The powder X-ray diffraction pattern is calculated, not measured: it uses DFT lattice parameters and positions (PBE+U) and Cu Kα (λ = 1.5418 Å).
Neutral-atom scattering factors, no anomalous dispersion.

The 6 most intense peaks (2θ = 10–90°), in order of rising 2θ:
2θ (°), I_rel, (hkl)
17.44, 52, 0 0 2
25.42, 100, 1 1 0
26.29, 81, 0 0 3
27.32, 49, 1 1 1
35.30, 43, 0 0 4
49.62, 42, 0 2 0

Crystal structure
```
data_V4NO10
_space_group_name_H-M_alt 'C 1 2/m 1'
_space_group_IT_number 12
_cell_length_a 11.8074
_cell_length_b 3.6746
_cell_length_c 10.3053
_cell_angle_alpha 90.00
_cell_angle_beta 99.28
_cell_angle_gamma 90.00
loop_
_space_group_symop_operation_xyz
'x,y,z'
'-x,-y,-z'
'-x,y,-z'
'x,-y,z'
'x+1/2,y+1/2,z'
'-x+1/2,-y+1/2,-z'
'-x+1/2,y+1/2,-z'
'x+1/2,-y+1/2,z'
loop_
_atom_site_label
_atom_site_fract_x
_atom_site_fract_y
_atom_site_fract_z
_atom_site_occupancy
V1 0.0897 0.0000 0.1561 1
V2 0.2032 0.0000 0.8426 1
N1 0.0000 0.5000 0.5000 1
O1 0.0653 0.0000 0.9042 1
O2 0.0997 0.0000 0.3130 1
O3 0.1235 0.5000 0.1265 1
O4 0.1701 0.0000 0.6859 1
O5 0.2436 0.5000 0.8855 1
```

=====

No. 2
Diffraction record for LiFe2OF5. The powder X-ray diffraction pattern is calculated, not measured: it uses DFT lattice parameters and positions (PBE+U) and Cu Kα (λ = 1.5418 Å).
Neutral-atom scattering factors, no anomalous dispersion.

The 6 most intense peaks (2θ = 10–90°), in order of rising 2θ:
2θ (°), I_rel, (hkl)
19.40, 92, 0 0 3
19.63, 62, 1 0 0
27.73, 57, 1 0 3
39.75, 100, 1 1 3
53.23, 59, 1 1 6
61.51, 28, 3 0 0

Crystal structure
```
data_LiFe2OF5
_space_group_name_H-M_alt 'P 31'
_space_group_IT_number 144
_cell_length_a 5.2223
_cell_length_b 5.2223
_cell_length_c 13.7267
_cell_angle_alpha 90.00
_cell_angle_beta 90.00
_cell_angle_gamma 120.00
loop_
_space_group_symop_operation_xyz
'x,y,z'
'-y,x-y,z+1/3'
'-x+y,-x,z+2/3'
loop_
_atom_site_label
_atom_site_fract_x
_atom_site_fract_y
_atom_site_fract_z
_atom_site_occupancy
Li1 0.0236 0.0009 0.0000 1
Fe1 0.3162 0.6466 0.4908 1
Fe2 0.6476 0.3167 0.1574 1
O1 0.3511 0.0010 0.0884 1
F1 0.0003 0.3498 0.7513 1
F2 0.0002 0.6523 0.5744 1
F3 0.0118 0.6438 0.9056 1
F4 0.3479 0.0007 0.7525 1
F5 0.3660 0.3521 0.5708 1
```

=====

No. 3
Diffraction record for Li3Cr2Ni2O8. The powder X-ray diffraction pattern is calculated, not measured: it uses DFT lattice parameters and positions (PBE+U) and Cu Kα (λ = 1.5418 Å).
Neutral-atom scattering factors, no anomalous dispersion.

The 6 most intense peaks (2θ = 10–90°), in order of rising 2θ:
2θ (°), I_rel, (hkl)
18.47, 100, 1 1 0
18.75, 15, 2 0 -1
35.84, 18, 1 1 -2
37.44, 14, 0 0 2
43.59, 50, 2 2 -2
43.86, 25, 4 0 0

Crystal structure
```
data_Li3Cr2Ni2O8
_space_group_name_H-M_alt 'C 1 2/m 1'
_space_group_IT_number 12
_cell_length_a 10.0375
_cell_length_b 5.9073
_cell_length_c 5.8398
_cell_angle_alpha 90.00
_cell_angle_beta 124.66
_cell_angle_gamma 90.00
loop_
_space_group_symop_operation_xyz
'x,y,z'
'-x,-y,-z'
'-x,y,-z'
'x,-y,z'
'x+1/2,y+1/2,z'
'-x+1/2,-y+1/2,-z'
'-x+1/2,y+1/2,-z'
'x+1/2,-y+1/2,z'
loop_
_atom_site_label
_atom_site_fract_x
_atom_site_fract_y
_atom_site_fract_z
_atom_site_occupancy
Li1 0.0000 0.0000 0.0000 1
Li2 0.2500 0.2500 0.5000 1
Cr1 0.2500 0.2500 0.0000 1
Ni1 0.0000 0.5000 0.0000 1
Ni2 0.0000 0.5000 0.5000 1
O1 0.0091 0.2788 0.7734 1
O2 0.2302 0.5000 0.2167 1
O3 0.2486 0.0000 0.2296 1
```

=====

No. 4
Diffraction record for MgFe6O8F4. The powder X-ray diffraction pattern is calculated, not measured: it uses DFT lattice parameters and positions (PBE+U) and Cu Kα (λ = 1.5418 Å).
Neutral-atom scattering factors, no anomalous dispersion.

The 6 most intense peaks (2θ = 10–90°), in order of rising 2θ:
2θ (°), I_rel, (hkl)
22.45, 100, 1 1 0
27.53, 75, 1 -1 0
34.50, 25, 0 1 3
35.12, 36, 1 0 3
35.59, 36, 0 1 -3
47.25, 17, 1 2 3

Crystal structure
```
data_MgFe6O8F4
_space_group_name_H-M_alt 'P 1'
_space_group_IT_number 1
_cell_length_a 5.0934
_cell_length_b 5.1441
_cell_length_c 8.9267
_cell_angle_alpha 88.02
_cell_angle_beta 89.57
_cell_angle_gamma 78.57
loop_
_space_group_symop_operation_xyz
'x,y,z'
loop_
_atom_site_label
_atom_site_fract_x
_atom_site_fract_y
_atom_site_fract_z
_atom_site_occupancy
Mg1 0.0000 0.0000 0.0000 1
Fe1 0.0758 0.5456 0.8227 1
Fe2 0.4843 0.9700 0.6769 1
Fe3 0.5006 0.9986 0.0039 1
Fe4 0.5182 0.0269 0.3314 1
Fe5 0.9294 0.4541 0.1761 1
Fe6 0.9646 0.4602 0.5030 1
O1 0.1849 0.2979 0.9995 1
O2 0.1899 0.3007 0.3331 1
O3 0.2225 0.3081 0.6648 1
O4 0.2924 0.8295 0.8491 1
O5 0.7087 0.1668 0.1541 1
O6 0.7724 0.6827 0.3357 1
O7 0.8063 0.6901 0.6685 1
O8 0.8167 0.7011 0.0005 1
F1 0.2988 0.8462 0.1639 1
F2 0.3315 0.8455 0.5009 1
F3 0.6981 0.1511 0.8377 1
F4 0.7034 0.1821 0.4993 1
```

=====

No. 5
Diffraction record for Li3Fe8B8O24. The powder X-ray diffraction pattern is calculated, not measured: it uses DFT lattice parameters and positions (PBE+U) and Cu Kα (λ = 1.5418 Å).
Neutral-atom scattering factors, no anomalous dispersion.

The 6 most intense peaks (2θ = 10–90°), in order of rising 2θ:
2θ (°), I_rel, (hkl)
19.60, 62, 0 2 1
21.38, 100, 1 -1 1
26.22, 28, -1 1 2
26.36, 38, 1 -1 2
34.04, 28, 1 3 2
35.39, 68, 0 0 4

Crystal structure
```
data_Li3Fe8B8O24
_space_group_name_H-M_alt 'P 1'
_space_group_IT_number 1
_cell_length_a 5.3059
_cell_length_b 9.0607
_cell_length_c 11.3478
_cell_angle_alpha 67.11
_cell_angle_beta 76.96
_cell_angle_gamma 89.53
loop_
_space_group_symop_operation_xyz
'x,y,z'
loop_
_atom_site_label
_atom_site_fract_x
_atom_site_fract_y
_atom_site_fract_z
_atom_site_occupancy
Li1 0.0000 0.0000 0.0000 1
Li2 0.1779 0.8521 0.2739 1
Li3 0.5063 0.4951 0.9968 1
Fe1 0.1864 0.5087 0.2758 1
Fe2 0.2406 0.8937 0.5249 1
Fe3 0.4217 0.4266 0.7762 1
Fe4 0.4891 0.8160 0.0287 1
Fe5 0.6792 0.0216 0.2749 1
Fe6 0.7350 0.3920 0.5223 1
Fe7 0.9252 0.9278 0.7769 1
Fe8 0.9817 0.3176 0.0281 1
B1 0.1804 0.1797 0.2770 1
B2 0.2324 0.5585 0.5193 1
B3 0.4298 0.7640 0.7803 1
B4 0.4814 0.1415 0.0266 1
B5 0.6956 0.6798 0.2758 1
B6 0.7260 0.0539 0.5292 1
B7 0.9291 0.2667 0.7783 1
B8 0.9831 0.6448 0.0267 1
O1 0.0038 0.1155 0.8016 1
O2 0.0541 0.3690 0.8154 1
O3 0.1148 0.4542 0.4788 1
O4 0.1527 0.7070 0.4994 1
O5 0.2110 0.6214 0.0746 1
O6 0.2207 0.8170 0.7234 1
O7 0.2802 0.0276 0.3256 1
O8 0.3016 0.3132 0.2759 1
O9 0.3276 0.0074 0.0467 1
O10 0.3940 0.2961 0.9757 1
O11 0.4416 0.5058 0.5769 1
O12 0.4528 0.6837 0.2429 1
O13 0.5025 0.6130 0.8034 1
O14 0.5552 0.8640 0.8204 1
O15 0.6096 0.9517 0.4889 1
O16 0.6365 0.1961 0.5228 1
O17 0.7191 0.1255 0.0591 1
O18 0.7212 0.3206 0.7202 1
O19 0.8006 0.5289 0.3219 1
O20 0.8283 0.8146 0.2614 1
O21 0.8434 0.5227 0.0241 1
O22 0.9032 0.8020 0.9790 1
O23 0.9468 0.0043 0.5801 1
O24 0.9658 0.1881 0.2278 1
```

=====

No. 6
Diffraction record for Er2CrSbO7. The powder X-ray diffraction pattern is calculated, not measured: it uses DFT lattice parameters and positions (PBE+U) and Cu Kα (λ = 1.5418 Å).
Neutral-atom scattering factors, no anomalous dispersion.

The 6 most intense peaks (2θ = 10–90°), in order of rising 2θ:
2θ (°), I_rel, (hkl)
30.13, 100, 0 2 2
30.35, 99, 2 0 2
34.99, 43, 2 2 0
50.47, 63, 2 2 4
59.64, 29, 2 4 2
60.04, 42, 0 2 6

Crystal structure
```
data_Er2CrSbO7
_space_group_name_H-M_alt 'I m m a'
_space_group_IT_number 74
_space_group_name_Hall '-I 2b 2'
_cell_length_a 7.2141
_cell_length_b 7.2935
_cell_length_c 10.1993
_cell_angle_alpha 90.00
_cell_angle_beta 90.00
_cell_angle_gamma 90.00
loop_
_atom_site_label
_atom_site_fract_x
_atom_site_fract_y
_atom_site_fract_z
_atom_site_occupancy
Er1 0.0000 0.0000 0.0000 1
Er2 0.2500 0.2500 0.2500 1
Cr1 0.2500 0.2500 0.7500 1
Sb1 0.0000 0.0000 0.5000 1
O1 0.0000 0.2500 0.1278 1
O2 0.0000 0.2500 0.4161 1
O3 0.0000 0.2500 0.8423 1
O4 0.2071 0.0364 0.6260 1
```

=====

No. 7
Diffraction record for MgTiFe4O8. The powder X-ray diffraction pattern is calculated, not measured: it uses DFT lattice parameters and positions (PBE+U) and Cu Kα (λ = 1.5418 Å).
Neutral-atom scattering factors, no anomalous dispersion.

The 6 most intense peaks (2θ = 10–90°), in order of rising 2θ:
2θ (°), I_rel, (hkl)
17.25, 65, 0 0 1
23.49, 47, 2 0 0
34.63, 100, 2 2 -1
34.93, 51, 4 0 -2
48.91, 55, 2 2 1
51.04, 66, 2 2 -3

Crystal structure
```
data_MgTiFe4O8
_space_group_name_H-M_alt 'C 1 2/m 1'
_space_group_IT_number 12
_cell_length_a 10.2998
_cell_length_b 5.9992
_cell_length_c 6.9949
_cell_angle_alpha 90.00
_cell_angle_beta 132.66
_cell_angle_gamma 90.00
loop_
_space_group_symop_operation_xyz
'x,y,z'
'-x,-y,-z'
'-x,y,-z'
'x,-y,z'
'x+1/2,y+1/2,z'
'-x+1/2,-y+1/2,-z'
'-x+1/2,y+1/2,-z'
'x+1/2,-y+1/2,z'
loop_
_atom_site_label
_atom_site_fract_x
_atom_site_fract_y
_atom_site_fract_z
_atom_site_occupancy
Mg1 0.0000 0.0000 0.0000 1
Ti1 0.0000 0.5000 0.0000 1
Fe1 0.2432 0.5000 0.5075 1
Fe2 0.2500 0.2500 0.0000 1
O1 0.0340 0.2595 0.2293 1
O2 0.2418 0.5000 0.8028 1
O3 0.2457 0.0000 0.7952 1
```

=====

No. 8
Diffraction record for TaCrO4. The powder X-ray diffraction pattern is calculated, not measured: it uses DFT lattice parameters and positions (PBE+U) and Cu Kα (λ = 1.5418 Å).
Neutral-atom scattering factors, no anomalous dispersion.

The 6 most intense peaks (2θ = 10–90°), in order of rising 2θ:
2θ (°), I_rel, (hkl)
19.69, 54, 1 0 1
26.72, 100, 2 0 0
33.41, 29, 2 1 1
34.98, 76, 1 1 2
38.15, 22, 2 2 0
52.71, 64, 3 1 2

Crystal structure
```
data_TaCrO4
_space_group_name_H-M_alt 'I 41 m d'
_space_group_IT_number 109
_space_group_name_Hall 'I 4bw -2'
_cell_length_a 6.6727
_cell_length_b 6.6727
_cell_length_c 6.1134
_cell_angle_alpha 90.00
_cell_angle_beta 90.00
_cell_angle_gamma 90.00
loop_
_atom_site_label
_atom_site_fract_x
_atom_site_fract_y
_atom_site_fract_z
_atom_site_occupancy
Ta1 0.0000 0.0000 0.0000 1
Cr1 0.0000 0.0000 0.4900 1
O1 0.0000 0.3027 0.4830 1
O2 0.0000 0.3042 0.9923 1
```

=====

No. 9
Diffraction record for KBaSmMnO6. The powder X-ray diffraction pattern is calculated, not measured: it uses DFT lattice parameters and positions (PBE+U) and Cu Kα (λ = 1.5418 Å).
Neutral-atom scattering factors, no anomalous dispersion.

The 6 most intense peaks (2θ = 10–90°), in order of rising 2θ:
2θ (°), I_rel, (hkl)
14.82, 12, 1 1 0
29.88, 100, 2 2 0
42.73, 22, 0 0 4
53.05, 39, 2 4 2
62.06, 13, 4 0 4
85.98, 14, 2 6 4

Crystal structure
```
data_KBaSmMnO6
_space_group_name_H-M_alt 'P n n n'
_space_group_IT_number 48
_cell_length_a 8.4412
_cell_length_b 8.4644
_cell_length_c 8.4661
_cell_angle_alpha 90.00
_cell_angle_beta 90.00
_cell_angle_gamma 90.00
loop_
_space_group_symop_operation_xyz
'x,y,z'
'-x,-y,-z'
'-x+1/2,-y+1/2,z'
'x+1/2,y+1/2,-z'
'x,-y+1/2,-z+1/2'
'-x,y+1/2,z+1/2'
'-x+1/2,y,-z+1/2'
'x+1/2,-y,z+1/2'
loop_
_atom_site_label
_atom_site_fract_x
_atom_site_fract_y
_atom_site_fract_z
_atom_site_occupancy
K1 0.2500 0.2500 0.2500 1
K2 0.2500 0.2500 0.7500 1
Ba1 0.2500 0.7500 0.2500 1
Ba2 0.2500 0.7500 0.7500 1
Sm1 0.0000 0.0000 0.0000 1
Mn1 0.0000 0.0000 0.5000 1
O1 0.0007 0.2278 0.4917 1
O2 0.0059 0.0079 0.7274 1
O3 0.2277 0.5159 0.0056 1
```

=====

No. 10
Diffraction record for Sr2CuMoO6. The powder X-ray diffraction pattern is calculated, not measured: it uses DFT lattice parameters and positions (PBE+U) and Cu Kα (λ = 1.5418 Å).
Neutral-atom scattering factors, no anomalous dispersion.

The 6 most intense peaks (2θ = 10–90°), in order of rising 2θ:
2θ (°), I_rel, (hkl)
31.16, 100, 1 1 2
32.76, 48, 2 0 0
42.18, 21, 0 0 4
47.01, 29, 2 2 0
54.41, 22, 2 0 4
57.48, 38, 1 3 2

Crystal structure
```
data_Sr2CuMoO6
_space_group_name_H-M_alt 'I 4/m'
_space_group_IT_number 87
_space_group_name_Hall '-I 4'
_cell_length_a 5.4671
_cell_length_b 5.4671
_cell_length_c 8.5697
_cell_angle_alpha 90.00
_cell_angle_beta 90.00
_cell_angle_gamma 90.00
loop_
_atom_site_label
_atom_site_fract_x
_atom_site_fract_y
_atom_site_fract_z
_atom_site_occupancy
Sr1 0.0000 0.5000 0.2500 1
Cu1 0.0000 0.0000 0.0000 1
Mo1 0.0000 0.0000 0.5000 1
O1 0.0000 0.0000 0.2730 1
O2 0.2037 0.2912 0.5000 1
```